(1)
# MgAgAsS4
Simulated powder diffractogram, λ = 1.5418 Å (Cu Kα). Input: the PBE geometry in Alexandria.
Intensities are scaled so that the largest is 100.

Top 10 peaks for 2θ from 15° to 90°, by angle:
| two_theta | intensity |
| --- | --- |
| 16.76 | 56 |
| 22.32 | 61 |
| 23.71 | 40 |
| 27.66 | 76 |
| 28.63 | 100 |
| 33.68 | 50 |
| 33.88 | 28 |
| 43.29 | 62 |
| 45.56 | 30 |
| 48.52 | 90 |

Structure:
a = 7.527 Å, b = 7.527 Å, c = 7.527 Å
α = 123.24°, β = 116.11°, γ = 90.67°
Sites, in units of the cell vectors:
Mg  0.000  0.000  0.000
Mg  0.500  0.000  0.500
Ag  0.500  0.000  0.000
Ag  0.500  0.500  0.500
As  0.095  0.345  0.750
As  0.905  0.655  0.250
S  0.225  0.224  0.499
S  0.225  0.726  0.001
S  0.278  0.239  0.038
S  0.299  0.761  0.538
S  0.701  0.239  0.462
S  0.722  0.761  0.962
S  0.775  0.274  0.999
S  0.775  0.776  0.501

***

(2)
# Cs2RhO4
Simulated powder diffractogram, λ = 1.5418 Å (Cu Kα). Input: the PBE geometry in Alexandria.
Intensities are scaled so that the largest is 100.

Top 10 peaks for 2θ from 15° to 90°, by angle:
| two_theta | intensity |
| --- | --- |
| 15.94 | 94 |
| 25.45 | 91 |
| 26.06 | 100 |
| 27.00 | 98 |
| 32.21 | 22 |
| 34.85 | 24 |
| 37.72 | 20 |
| 44.63 | 43 |
| 46.42 | 39 |
| 47.49 | 41 |

Structure:
a = 6.888 Å, b = 6.609 Å, c = 7.019 Å
α = 60.63°, β = 56.75°, γ = 62.63°
Sites, in units of the cell vectors:
Cs  0.000  0.000  0.500
Cs  0.500  0.500  0.000
Rh  0.263  0.263  0.737
O  0.009  0.310  0.690
O  0.214  0.532  0.786
O  0.310  0.009  0.991
O  0.532  0.214  0.468